Diffraction record for ErBiW2O9. The powder diffractogram is computed, not measured: it uses a GGA+U-relaxed structure and Cu Kα (λ = 1.5418 Å).
Neutral-atom scattering factors, no anomalous dispersion.

Main lines, low angle first (10° ≤ 2θ ≤ 80°):
two_theta  intensity  index
26.69  73  0 1 4
28.20  100  1 1 1
31.10  28  0 2 0
35.79  19  1 0 5
46.66  15  2 0 0
48.13  31  1 2 5
52.70  13  0 3 4
53.57  15  1 3 1
54.57  21  2 1 4
58.13  12  1 1 9

Cell and atoms:
```
ErBiW2O9
1.0
3.8933 0.0000 0.0000
0.0000 5.7517 0.0000
0.0000 0.0000 16.4062
Er Bi W O
2 2 4 18
Direct
0.2500 0.2500 0.1649
0.7500 0.7500 0.8351
0.2500 0.7500 0.5518
0.7500 0.2500 0.4482
0.2500 0.2500 0.9142
0.2500 0.7500 0.3387
0.7500 0.2500 0.6613
0.7500 0.7500 0.0858
0.2500 0.2500 0.0244
0.2500 0.2500 0.6475
0.2500 0.5012 0.2698
0.2500 0.5193 0.4400
0.2500 0.5312 0.8586
0.2500 0.7500 0.0937
0.2500 0.9688 0.8586
0.2500 0.9807 0.4400
0.2500 0.9988 0.2698
0.7500 0.0012 0.7302
0.7500 0.0193 0.5600
0.7500 0.0312 0.1414
0.7500 0.2500 0.9063
0.7500 0.4688 0.1414
0.7500 0.4807 0.5600
0.7500 0.4988 0.7302
0.7500 0.7500 0.3525
0.7500 0.7500 0.9756
```